(1)
Starting from a cell relaxed with GGA+U, the powder X-ray diffraction pattern of Li4TiCo3O8 was calculated for Cu Kα (weighted mean of Kα1 and Kα2).
Lines closer than 0.1° are merged.

Peak list (12 most intense, 5 to 70 degrees two-theta, by angle)
two_theta	Rel. int.
18.2	100
35.7	29
36.1	13
37.4	9
43.2	53
43.6	25
47.4	14
56.9	9
62.6	21
62.9	7
63.5	7
63.6	7

Cell and atoms:
a b c (Å): 5.8531 5.9373 8.3865
angles (deg): 90.75 90.25 90.48
Positions (direct):
Li1 0.0000 0.0000 0.0000
Li2 0.9996 0.4955 0.5018
Li3 0.2470 0.2490 0.2510
Li4 0.2467 0.7475 0.7512
Li5 0.4940 0.0007 0.0000
Li6 0.4946 0.4965 0.5008
Li7 0.7475 0.2456 0.2503
Li8 0.7485 0.7454 0.7484
Ti1 0.2538 0.7569 0.2541
Ti2 0.7392 0.2426 0.7461
Co1 0.2440 0.2501 0.7532
Co2 0.4963 0.9977 0.5003
Co3 0.5012 0.5012 0.0049
Co4 0.7498 0.7423 0.2478
Co5 0.9949 0.9933 0.4991
Co6 0.9976 0.4980 0.0028
O1 0.0002 0.4765 0.7598
O2 0.0092 0.5051 0.2374
O3 0.0116 0.9862 0.2543
O4 0.2327 0.2265 0.5217
O5 0.2430 0.7439 0.4859
O6 0.2469 0.7410 0.0128
O7 0.2525 0.2689 0.9855
O8 0.4851 0.5055 0.2457
O9 0.4906 0.9833 0.2490
O10 0.4917 0.0227 0.7533
O11 0.4945 0.4756 0.7527
O12 0.7436 0.7249 0.9931
O13 0.7482 0.2565 0.9887
O14 0.7503 0.2496 0.5151
O15 0.7603 0.7678 0.5023
O16 0.9964 0.0228 0.7510

(2)
Starting from a cell relaxed with GGA+U, the powder X-ray diffraction pattern of MgFeC2O6 was calculated for Cu Kα (weighted mean of Kα1 and Kα2).
Lines closer than 0.1° are merged.

Peak list (12 most intense, 5 to 70 degrees two-theta, by angle)
two_theta	Rel. int.
22.4	15
24.7	16
31.8	51
31.9	100
38.1	15
41.8	15
42.1	21
42.3	15
45.8	18
52.4	17
52.5	18
52.6	32

Cell and atoms:
a b c (Å): 4.7142 4.7241 5.8089
angles (deg): 66.08 66.40 60.39
Positions (direct):
Mg1 0.0000 0.0000 0.0000
Fe1 0.5000 0.5000 0.5000
C1 0.2523 0.2508 0.2457
C2 0.7477 0.7492 0.7543
O1 0.0184 0.7566 0.7553
O2 0.2466 0.5287 0.2466
O3 0.4704 0.0182 0.7548
O4 0.5296 0.9818 0.2452
O5 0.7534 0.4713 0.7534
O6 0.9816 0.2434 0.2447

(3)
Starting from a cell relaxed with GGA+U, the powder X-ray diffraction pattern of TiMnV4O12 was calculated for Cu Kα (weighted mean of Kα1 and Kα2).
Lines closer than 0.1° are merged.

Peak list (12 most intense, 5 to 70 degrees two-theta, by angle)
two_theta	Rel. int.
13.2	19
18.3	59
19.0	41
23.4	23
25.1	20
27.6	100
29.3	56
32.9	46
34.7	27
43.8	20
51.1	15
53.3	19

Cell and atoms:
a b c (Å): 6.9554 6.9554 5.8079
angles (deg): 105.10 105.10 84.27
Positions (direct):
Ti1 0.0000 0.0000 0.0000
Mn1 0.1881 0.8119 0.5000
V1 0.3027 0.2877 0.4975
V2 0.4863 0.0972 0.0047
V3 0.7123 0.6973 0.5025
V4 0.9028 0.5137 0.9953
O1 0.0535 0.7260 0.1018
O2 0.1318 0.0915 0.3592
O3 0.1773 0.5114 0.5152
O4 0.2740 0.9465 0.8982
O5 0.4311 0.2662 0.7942
O6 0.4674 0.2640 0.3063
O7 0.4886 0.8227 0.4848
O8 0.7338 0.5689 0.2058
O9 0.7360 0.5326 0.6937
O10 0.7392 0.0035 0.0349
O11 0.9085 0.8682 0.6408
O12 0.9965 0.2608 0.9651

(4)
Starting from a cell relaxed with GGA+U, the powder X-ray diffraction pattern of Sr4V3O10 was calculated for Cu Kα (weighted mean of Kα1 and Kα2).
Lines closer than 0.1° are merged.

Peak list (12 most intense, 5 to 70 degrees two-theta, by angle)
two_theta	Rel. int.
25.3	4
31.9	100
32.5	63
36.8	4
37.8	4
41.6	25
45.0	17
46.6	43
56.6	16
57.6	37
66.8	18
68.0	12

Cell and atoms:
a b c (Å): 14.3660 14.3660 14.3660
angles (deg): 164.40 164.40 22.13
Positions (direct):
Sr1 0.0685 0.0685 0.0000
Sr2 0.2025 0.2025 0.0000
Sr3 0.7975 0.7975 0.0000
Sr4 0.9315 0.9315 0.0000
V1 0.3608 0.3608 0.0000
V2 0.5000 0.5000 0.0000
V3 0.6392 0.6392 0.0000
O1 0.0000 0.5000 0.5000
O2 0.1384 0.6384 0.5000
O3 0.2909 0.2909 0.0000
O4 0.3616 0.8616 0.5000
O5 0.4313 0.4313 0.0000
O6 0.5000 0.0000 0.5000
O7 0.5687 0.5687 0.0000
O8 0.6384 0.1384 0.5000
O9 0.7091 0.7091 0.0000
O10 0.8616 0.3616 0.5000

(5)
Starting from a cell relaxed with GGA+U, the powder X-ray diffraction pattern of FeF4 was calculated for Cu Kα (weighted mean of Kα1 and Kα2).
Lines closer than 0.1° are merged.

Peak list (12 most intense, 5 to 70 degrees two-theta, by angle)
two_theta	Rel. int.
17.6	63
23.1	100
29.1	63
37.5	27
38.0	30
42.8	9
46.0	12
47.2	13
49.2	34
50.7	12
56.4	15
65.6	25

Cell and atoms:
a b c (Å): 6.3551 6.3551 6.3551
angles (deg): 129.21 129.21 74.68
Positions (direct):
Fe1 0.0000 0.5000 0.5000
Fe2 0.5000 0.0000 0.5000
F1 0.0464 0.5464 0.8332
F2 0.2132 0.0464 0.5000
F3 0.2868 0.7868 0.8332
F4 0.4536 0.2868 0.5000
F5 0.5464 0.7132 0.5000
F6 0.7132 0.2132 0.1668
F7 0.7868 0.9536 0.5000
F8 0.9536 0.4536 0.1668

(6)
Starting from a cell relaxed with GGA+U, the powder X-ray diffraction pattern of Gd2MgTl2W4O16 was calculated for Cu Kα (weighted mean of Kα1 and Kα2).
Lines closer than 0.1° are merged.

Peak list (12 most intense, 5 to 70 degrees two-theta, by angle)
two_theta	Rel. int.
26.0	100
27.2	88
28.6	92
29.0	89
30.4	66
32.5	66
33.3	63
44.6	19
45.6	21
48.2	18
48.5	26
59.2	18

Cell and atoms:
a b c (Å): 7.5421 7.5642 7.8971
angles (deg): 90.96 115.93 116.21
Positions (direct):
Gd1 0.0000 0.0000 0.0000
Gd2 0.4821 0.5059 0.4247
Mg1 0.8628 0.6575 0.1918
Tl1 0.0196 0.5209 0.5160
Tl2 0.4942 0.9727 0.0285
W1 0.0259 0.0447 0.5358
W2 0.4229 0.4547 0.8937
W3 0.5249 0.0591 0.5271
W4 0.9331 0.4289 0.9325
O1 0.0378 0.7155 0.0378
O2 0.0992 0.3474 0.1408
O3 0.1735 0.5200 0.8443
O4 0.1946 0.1553 0.8368
O5 0.2581 0.3385 0.5815
O6 0.2988 0.9963 0.5984
O7 0.3822 0.1349 0.3020
O8 0.4355 0.7920 0.4412
O9 0.5522 0.5363 0.1782
O10 0.6222 0.7035 0.8796
O11 0.6779 0.3782 0.9862
O12 0.7062 0.3806 0.6448
O13 0.7590 0.1075 0.7974
O14 0.8033 0.1242 0.4722
O15 0.8651 0.8031 0.5825
O16 0.9415 0.9484 0.2761

(7)
Starting from a cell relaxed with GGA+U, the powder X-ray diffraction pattern of CaP2W2O9 was calculated for Cu Kα (weighted mean of Kα1 and Kα2).
Lines closer than 0.1° are merged.

Peak list (12 most intense, 5 to 70 degrees two-theta, by angle)
two_theta	Rel. int.
11.7	43
13.3	29
16.7	44
17.6	29
21.3	54
24.6	47
28.9	23
29.6	100
31.9	41
49.0	22
51.6	28
55.0	38

Cell and atoms:
a b c (Å): 15.1445 6.7775 7.4402
angles (deg): 90.00 90.00 90.00
Positions (direct):
Ca1 0.2220 0.2500 0.1017
Ca2 0.2780 0.7500 0.6017
Ca3 0.7220 0.2500 0.3983
Ca4 0.7780 0.7500 0.8983
P1 0.0729 0.7500 0.6297
P2 0.1905 0.7500 0.1020
P3 0.3095 0.2500 0.6020
P4 0.4271 0.2500 0.1297
P5 0.5729 0.7500 0.8703
P6 0.6905 0.7500 0.3980
P7 0.8095 0.2500 0.8980
P8 0.9271 0.2500 0.3703
W1 0.0000 0.0000 0.0000
W2 0.0000 0.5000 0.0000
W3 0.1239 0.2500 0.6323
W4 0.3761 0.7500 0.1323
W5 0.5000 0.0000 0.5000
W6 0.5000 0.5000 0.5000
W7 0.6239 0.2500 0.8677
W8 0.8761 0.7500 0.3677
O1 0.0051 0.7500 0.4824
O2 0.0236 0.7500 0.8175
O3 0.0619 0.2500 0.8820
O4 0.1344 0.5581 0.1003
O5 0.1344 0.9419 0.1003
O6 0.1366 0.5705 0.6238
O7 0.1366 0.9295 0.6238
O8 0.2411 0.2500 0.4425
O9 0.2504 0.2500 0.7744
O10 0.2496 0.7500 0.2744
O11 0.2589 0.7500 0.9425
O12 0.3634 0.0705 0.1238
O13 0.3634 0.4295 0.1238
O14 0.3656 0.0581 0.6003
O15 0.3656 0.4419 0.6003
O16 0.4381 0.7500 0.3820
O17 0.4764 0.2500 0.3175
O18 0.4949 0.2500 0.9824
O19 0.5051 0.7500 0.0176
O20 0.5236 0.7500 0.6825
O21 0.5619 0.2500 0.6180
O22 0.6344 0.5581 0.3997
O23 0.6344 0.9419 0.3997
O24 0.6366 0.5705 0.8762
O25 0.6366 0.9295 0.8762
O26 0.7411 0.2500 0.0575
O27 0.7504 0.2500 0.7256
O28 0.7496 0.7500 0.2256
O29 0.7589 0.7500 0.5575
O30 0.8634 0.0705 0.3762
O31 0.8634 0.4295 0.3762
O32 0.8656 0.0581 0.8997
O33 0.8656 0.4419 0.8997
O34 0.9381 0.7500 0.1180
O35 0.9764 0.2500 0.1825
O36 0.9949 0.2500 0.5176

(8)
Starting from a cell relaxed with GGA+U, the powder X-ray diffraction pattern of MgMn2O4 was calculated for Cu Kα (weighted mean of Kα1 and Kα2).
Lines closer than 0.1° are merged.

Peak list (12 most intense, 5 to 70 degrees two-theta, by angle)
two_theta	Rel. int.
15.8	33
16.7	28
22.3	100
23.8	69
31.9	52
33.7	26
35.1	53
45.5	28
47.7	25
48.7	62
50.2	61
59.0	34

Cell and atoms:
a b c (Å): 5.3234 2.8767 5.6162
angles (deg): 90.00 93.69 90.00
Positions (direct):
Mg1 0.0000 0.0000 0.0000
Mn1 0.0000 0.5000 0.5000
Mn2 0.5000 0.0000 0.0000
O1 0.1584 0.0000 0.6846
O2 0.2808 0.5000 0.1092
O3 0.7192 0.5000 0.8908
O4 0.8416 0.0000 0.3154

Question: What is the formula in the fourth record?
Answer: Sr4V3O10